Structure and calculated PXRD pattern of Ge4Br2Cl5 (a DFT-relaxed cell (GGA-PBE, Alexandria); Cu Kα, 1.54184 Å).
Intensities are scaled so that the largest is 100.

Cell and atoms:
```
data_Ge4Br2Cl5
_chemical_formula_sum 'Ge8 Br4 Cl10'
_cell_length_a 12.6049
_cell_length_b 7.3263
_cell_length_c 9.4804
_cell_angle_alpha 90.00
_cell_angle_beta 127.53
_cell_angle_gamma 90.00
_symmetry_space_group_name_H-M 'C 1 2/m 1'
_symmetry_Int_Tables_number 12
_symmetry_space_group_name_Hall '-C 2y'
loop_
_atom_site_label
_atom_site_type_symbol
_atom_site_fract_x
_atom_site_fract_y
_atom_site_fract_z
Ge1 Ge 0.1121 0.0000 0.2675
Ge2 Ge 0.1766 0.5000 0.8212
Br1 Br 0.1994 0.0000 0.5727
Cl1 Cl 0.0000 0.5000 0.5000
Cl2 Cl 0.0683 0.2461 0.8647
```

Principal peaks in the range 10 to 80 degrees two-theta, in order of rising 2θ:
hkl 1 1 1, d 3.999, rel. 36; hkl 0 2 0, d 3.663, rel. 47; hkl 3 1 -1, d 3.586, rel. 100; hkl 3 1 -2, d 3.488, rel. 47; hkl 0 2 1, d 3.293, rel. 32; hkl 2 2 0, d 2.955, rel. 29; hkl 1 1 2, d 2.754, rel. 28; hkl 4 2 -2, d 2.386, rel. 32; hkl 3 3 -1, d 2.099, rel. 27; hkl 2 2 -4, d 1.932, rel. 26